Theoretical PXRD pattern of K3SnTe3 for Cu Kα X-rays, from a PBE-relaxed structure.

Principal peaks in the range 10 to 90 degrees two-theta, by intensity:
two_theta	I (rel.)	h k l
26.6	100.0	2 3 -1
28.5	55.6	1 1 -3
12.4	45.6	1 1 -1
18.5	44.0	1 1 1
27.7	44.0	1 4 0
20.5	33.4	2 0 0

Crystal structure
abc: 9.728 13.883 9.749
angles: 90.00 116.84 90.00
Space group P2_1/c (No. 14)
Symmetry-distinct sites (fractional):
K  0.002  0.157  0.489 [4 per cell]
K  0.224  0.065  0.207 [4 per cell]
K  0.445  0.718  0.797 [4 per cell]
Sn  0.345  0.008  0.876 [4 per cell]
Te  0.171  0.634  0.425 [4 per cell]
Te  0.239  0.193  0.882 [4 per cell]
Te  0.356  0.525  0.100 [4 per cell]